1.
For PrNd3, a GGA-PBE-relaxed structure gives the simulated XRD peak list in this record (CuKα).
Neutral-atom scattering factors, no anomalous dispersion.

Cell and atoms:
a b c (Å): 6.385 6.385 6.385
angles (deg): 131.87 131.87 70.44
Element x y z (fractional)
1 Pr 0.000 0.000 0.000
2 Nd 0.250 0.750 0.500
3 Nd 0.500 0.500 0.000
4 Nd 0.750 0.250 0.500

The 7 most intense peaks (2θ = 10–80°), low angle first:
| d [Å] | I (rel.) |
| --- | --- |
| 3.008 | 100 |
| 2.605 | 51 |
| 1.842 | 36 |
| 1.571 | 43 |
| 1.504 | 13 |
| 1.304 | 2 |
| 1.302 | 4 |

=====

2.
For MgZr3U7O20, a GGA-PBE-relaxed structure gives the simulated XRD peak list in this record (CuKα).
Neutral-atom scattering factors, no anomalous dispersion.

Cell and atoms:
a b c (Å): 3.751 6.523 16.578
angles (deg): 86.86 83.52 89.99
Element x y z (fractional)
1 Mg 0.000 0.000 0.000
2 Zr 0.435 0.135 0.132
3 Zr 0.569 0.868 0.867
4 Zr 0.751 0.253 0.498
5 U 0.056 0.378 0.889
6 U 0.156 0.063 0.688
7 U 0.250 0.751 0.501
8 U 0.345 0.447 0.310
9 U 0.654 0.553 0.691
10 U 0.845 0.942 0.311
11 U 0.946 0.623 0.112
12 O 0.024 0.726 0.945
13 O 0.083 0.027 0.834
14 O 0.128 0.385 0.745
15 O 0.178 0.732 0.642
16 O 0.228 0.087 0.546
17 O 0.273 0.418 0.454
18 O 0.322 0.769 0.357
19 O 0.371 0.121 0.260
20 O 0.423 0.457 0.155
21 O 0.468 0.864 0.063
22 O 0.532 0.141 0.935
23 O 0.576 0.545 0.844
24 O 0.630 0.885 0.739
25 O 0.681 0.233 0.638
26 O 0.727 0.570 0.546
27 O 0.774 0.933 0.454
28 O 0.820 0.272 0.361
29 O 0.874 0.614 0.255
30 O 0.918 0.974 0.165
31 O 0.972 0.274 0.055

The 8 most intense peaks (2θ = 10–80°), low angle first:
| d [Å] | I (rel.) |
| --- | --- |
| 3.289 | 33 |
| 3.091 | 100 |
| 2.736 | 19 |
| 2.708 | 33 |
| 1.971 | 19 |
| 1.957 | 11 |
| 1.881 | 23 |
| 1.875 | 12 |

=====

3.
For SiC, a GGA-PBE-relaxed structure gives the simulated XRD peak list in this record (CuKα).
Neutral-atom scattering factors, no anomalous dispersion.

Cell and atoms:
a b c (Å): 3.094 3.094 12.662
angles (deg): 90.00 90.00 120.00
Element x y z (fractional)
1 Si 0.000 0.000 0.000
2 Si 0.000 0.000 0.400
3 Si 0.333 0.667 0.200
4 Si 0.333 0.667 0.600
5 Si 0.667 0.333 0.800
6 C 0.000 0.000 0.150
7 C 0.000 0.000 0.551
8 C 0.333 0.667 0.350
9 C 0.333 0.667 0.750
10 C 0.667 0.333 0.950

The 8 most intense peaks (2θ = 10–80°), low angle first:
| d [Å] | I (rel.) |
| --- | --- |
| 2.622 | 59 |
| 2.532 | 61 |
| 2.468 | 100 |
| 2.262 | 38 |
| 1.547 | 55 |
| 1.499 | 36 |
| 1.363 | 20 |
| 1.320 | 42 |

=====

4.
For La2In11Ni15, a GGA-PBE-relaxed structure gives the simulated XRD peak list in this record (CuKα).
Neutral-atom scattering factors, no anomalous dispersion.

Cell and atoms:
a b c (Å): 8.745 8.745 7.998
angles (deg): 116.98 116.98 91.10
Element x y z (fractional)
1 La 0.246 0.754 0.000
2 La 0.754 0.246 0.000
3 In 0.042 0.042 0.206
4 In 0.054 0.321 0.869
5 In 0.171 0.450 0.485
6 In 0.321 0.054 0.869
7 In 0.450 0.171 0.485
8 In 0.459 0.459 0.138
9 In 0.548 0.548 0.876
10 In 0.568 0.837 0.535
11 In 0.671 0.950 0.141
12 In 0.837 0.568 0.535
13 In 0.950 0.671 0.141
14 Ni 0.003 0.003 0.512
15 Ni 0.085 0.746 0.545
16 Ni 0.241 0.241 0.169
17 Ni 0.246 0.588 0.292
18 Ni 0.262 0.262 0.689
19 Ni 0.263 0.919 0.469
20 Ni 0.418 0.764 0.719
21 Ni 0.504 0.504 0.507
22 Ni 0.588 0.246 0.292
23 Ni 0.746 0.085 0.545
24 Ni 0.747 0.747 0.328
25 Ni 0.764 0.418 0.719
26 Ni 0.766 0.766 0.843
27 Ni 0.919 0.263 0.469
28 Ni 0.957 0.957 0.778

The 8 most intense peaks (2θ = 10–80°), low angle first:
| d [Å] | I (rel.) |
| --- | --- |
| 2.776 | 78 |
| 2.594 | 98 |
| 2.375 | 70 |
| 2.368 | 67 |
| 2.208 | 53 |
| 2.200 | 59 |
| 2.120 | 100 |
| 2.109 | 72 |

=====

5.
For Mg14TiBi, a GGA-PBE-relaxed structure gives the simulated XRD peak list in this record (CuKα).
Neutral-atom scattering factors, no anomalous dispersion.

Cell and atoms:
a b c (Å): 6.372 6.372 10.411
angles (deg): 90.00 90.00 120.00
Element x y z (fractional)
1 Mg 0.000 0.000 0.248
2 Mg 0.000 0.000 0.752
3 Mg 0.002 0.501 0.242
4 Mg 0.002 0.501 0.758
5 Mg 0.331 0.166 0.500
6 Mg 0.335 0.167 0.000
7 Mg 0.499 0.501 0.242
8 Mg 0.499 0.501 0.758
9 Mg 0.499 0.998 0.242
10 Mg 0.499 0.998 0.758
11 Mg 0.833 0.167 0.000
12 Mg 0.833 0.665 0.000
13 Mg 0.834 0.166 0.500
14 Mg 0.834 0.669 0.500
15 Ti 0.333 0.667 0.000
16 Bi 0.333 0.667 0.500

The 8 most intense peaks (2θ = 10–80°), low angle first:
| d [Å] | I (rel.) |
| --- | --- |
| 5.518 | 53 |
| 4.876 | 46 |
| 3.787 | 43 |
| 2.759 | 30 |
| 2.603 | 26 |
| 2.438 | 100 |
| 1.893 | 20 |
| 1.469 | 25 |

=====

6.
For PbI2, a GGA-PBE-relaxed structure gives the simulated XRD peak list in this record (CuKα).
Neutral-atom scattering factors, no anomalous dispersion.

Cell and atoms:
a b c (Å): 4.678 4.678 31.584
angles (deg): 90.00 90.00 120.00
Element x y z (fractional)
1 Pb 0.333 0.667 0.000
2 Pb 0.333 0.667 0.250
3 Pb 0.667 0.333 0.500
4 Pb 0.667 0.333 0.750
5 I 0.000 0.000 0.059
6 I 0.000 0.000 0.308
7 I 0.000 0.000 0.559
8 I 0.000 0.000 0.808
9 I 0.333 0.667 0.441
10 I 0.333 0.667 0.691
11 I 0.667 0.333 0.191
12 I 0.667 0.333 0.941

The 8 most intense peaks (2θ = 10–80°), low angle first:
| d [Å] | I (rel.) |
| --- | --- |
| 7.896 | 100 |
| 3.605 | 90 |
| 3.410 | 47 |
| 3.015 | 48 |
| 2.828 | 30 |
| 2.653 | 37 |
| 2.340 | 86 |
| 1.509 | 31 |

=====

7.
For MgTa2CuO6, a GGA-PBE-relaxed structure gives the simulated XRD peak list in this record (CuKα).
Neutral-atom scattering factors, no anomalous dispersion.

Cell and atoms:
a b c (Å): 5.430 5.430 5.864
angles (deg): 122.46 122.46 55.76
Element x y z (fractional)
1 Mg 0.000 0.000 0.000
2 Ta 0.291 0.198 0.744
3 Ta 0.802 0.709 0.256
4 Cu 0.592 0.408 0.500
5 O 0.192 0.808 0.500
6 O 0.396 0.604 0.000
7 O 0.634 0.013 0.587
8 O 0.640 0.004 0.053
9 O 0.987 0.366 0.413
10 O 0.996 0.360 0.947

The 8 most intense peaks (2θ = 10–80°), low angle first:
| d [Å] | I (rel.) |
| --- | --- |
| 3.839 | 100 |
| 3.813 | 43 |
| 2.932 | 55 |
| 2.709 | 92 |
| 2.701 | 91 |
| 2.539 | 28 |
| 1.919 | 44 |
| 1.496 | 33 |

=====

8.
For CaEr2S4, a GGA-PBE-relaxed structure gives the simulated XRD peak list in this record (CuKα).
Neutral-atom scattering factors, no anomalous dispersion.

Cell and atoms:
a b c (Å): 12.880 3.872 13.110
angles (deg): 90.00 90.00 90.00
Element x y z (fractional)
1 Ca 0.131 0.250 0.078
2 Ca 0.369 0.750 0.578
3 Ca 0.631 0.250 0.422
4 Ca 0.869 0.750 0.922
5 Er 0.107 0.750 0.416
6 Er 0.147 0.750 0.796
7 Er 0.353 0.250 0.296
8 Er 0.393 0.250 0.916
9 Er 0.607 0.750 0.084
10 Er 0.647 0.750 0.704
11 Er 0.853 0.250 0.204
12 Er 0.893 0.250 0.584
13 S 0.030 0.250 0.882
14 S 0.034 0.750 0.617
15 S 0.217 0.750 0.238
16 S 0.242 0.250 0.473
17 S 0.258 0.750 0.973
18 S 0.283 0.250 0.738
19 S 0.466 0.250 0.117
20 S 0.470 0.750 0.382
21 S 0.530 0.250 0.618
22 S 0.534 0.750 0.883
23 S 0.717 0.750 0.262
24 S 0.742 0.250 0.027
25 S 0.758 0.750 0.527
26 S 0.783 0.250 0.762
27 S 0.966 0.250 0.383
28 S 0.970 0.750 0.118

The 8 most intense peaks (2θ = 10–80°), low angle first:
| d [Å] | I (rel.) |
| --- | --- |
| 5.842 | 82 |
| 3.616 | 100 |
| 3.319 | 90 |
| 3.224 | 59 |
| 2.809 | 55 |
| 2.633 | 59 |
| 2.141 | 54 |
| 1.937 | 51 |

=====

9.
For EuGaSn, a GGA-PBE-relaxed structure gives the simulated XRD peak list in this record (CuKα).
Neutral-atom scattering factors, no anomalous dispersion.

Cell and atoms:
a b c (Å): 4.580 4.580 17.930
angles (deg): 90.00 90.00 120.00
Element x y z (fractional)
1 Eu 0.000 0.000 0.000
2 Eu 0.000 0.000 0.250
3 Eu 0.000 0.000 0.500
4 Eu 0.000 0.000 0.750
5 Ga 0.333 0.667 0.163
6 Ga 0.333 0.667 0.337
7 Ga 0.667 0.333 0.663
8 Ga 0.667 0.333 0.837
9 Sn 0.333 0.667 0.616
10 Sn 0.333 0.667 0.884
11 Sn 0.667 0.333 0.116
12 Sn 0.667 0.333 0.384

The 8 most intense peaks (2θ = 10–80°), low angle first:
| d [Å] | I (rel.) |
| --- | --- |
| 3.305 | 16 |
| 2.971 | 100 |
| 2.290 | 54 |
| 2.152 | 16 |
| 1.814 | 24 |
| 1.602 | 17 |
| 1.422 | 22 |
| 1.322 | 9 |

=====

10.
For CeSe2, a GGA-PBE-relaxed structure gives the simulated XRD peak list in this record (CuKα).
Neutral-atom scattering factors, no anomalous dispersion.

Cell and atoms:
a b c (Å): 13.673 13.673 11.789
angles (deg): 90.00 90.00 120.00
Element x y z (fractional)
1 Ce 0.049 0.342 0.424
2 Ce 0.049 0.707 0.076
3 Ce 0.293 0.342 0.076
4 Ce 0.293 0.951 0.424
5 Ce 0.342 0.049 0.924
6 Ce 0.342 0.293 0.576
7 Ce 0.658 0.707 0.424
8 Ce 0.658 0.951 0.076
9 Ce 0.707 0.049 0.576
10 Ce 0.707 0.658 0.924
11 Ce 0.951 0.293 0.924
12 Ce 0.951 0.658 0.576
13 Se 0.000 0.500 0.000
14 Se 0.000 0.500 0.500
15 Se 0.151 0.305 0.600
16 Se 0.151 0.845 0.900
17 Se 0.155 0.305 0.900
18 Se 0.155 0.849 0.600
19 Se 0.200 0.400 0.250
20 Se 0.200 0.800 0.250
21 Se 0.305 0.151 0.100
22 Se 0.305 0.155 0.400
23 Se 0.400 0.200 0.750
24 Se 0.500 0.000 0.000
25 Se 0.500 0.000 0.500
26 Se 0.500 0.500 0.000
27 Se 0.500 0.500 0.500
28 Se 0.600 0.800 0.250
29 Se 0.695 0.845 0.600
30 Se 0.695 0.849 0.900
31 Se 0.800 0.200 0.750
32 Se 0.800 0.600 0.750
33 Se 0.845 0.151 0.400
34 Se 0.845 0.695 0.100
35 Se 0.849 0.155 0.100
36 Se 0.849 0.695 0.400

The 8 most intense peaks (2θ = 10–80°), low angle first:
| d [Å] | I (rel.) |
| --- | --- |
| 6.837 | 100 |
| 5.902 | 29 |
| 4.464 | 64 |
| 4.183 | 29 |
| 2.706 | 19 |
| 2.365 | 29 |
| 2.235 | 19 |
| 2.197 | 28 |